This entry pairs a crystal structure of TaGaMoC with its theoretical powder diffraction line list. Radiation: copper Kα. Structure: a cell relaxed with PBE.
Neutral-atom scattering factors, no anomalous dispersion.

The 6 most intense peaks (2θ = 10–90°), in order of falling intensity:
index, d/Å, intensity
1 0 3, 2.304, 100
1 1 0, 1.556, 25
1 0 0, 2.695, 23
1 1 6, 1.274, 18
0 0 6, 2.220, 18
0 2 3, 1.289, 15

abc: 3.112 3.112 13.322
angles: 90.00 90.00 120.00
Atoms (fractional coordinates):
1 Ta 0.333 0.667 0.407
2 Ta 0.667 0.333 0.593
3 Ga 0.333 0.667 0.758
4 Ga 0.667 0.333 0.242
5 Mo 0.333 0.667 0.086
6 Mo 0.667 0.333 0.914
7 C 0.000 0.000 0.000
8 C 0.000 0.000 0.500

=====

This entry pairs a crystal structure of Ni5S4 with its theoretical powder diffraction line list. Radiation: copper Kα. Structure: a cell relaxed with PBE.
Neutral-atom scattering factors, no anomalous dispersion.

The 6 most intense peaks (2θ = 10–90°), in order of falling intensity:
index, d/Å, intensity
1 1 2, 2.635, 100
1 1 -3, 2.530, 83
3 0 -4, 1.736, 57
2 2 -1, 1.702, 41
1 1 -2, 2.975, 41
2 1 0, 2.391, 40

abc: 6.019 4.131 10.160
angles: 90.00 103.01 90.00
Atoms (fractional coordinates):
1 Ni 0.000 0.000 0.000
2 Ni 0.000 0.500 0.500
3 Ni 0.227 0.157 0.690
4 Ni 0.227 0.343 0.190
5 Ni 0.331 0.673 0.003
6 Ni 0.331 0.827 0.503
7 Ni 0.669 0.173 0.497
8 Ni 0.669 0.327 0.997
9 Ni 0.773 0.657 0.810
10 Ni 0.773 0.843 0.310
11 S 0.084 0.134 0.367
12 S 0.084 0.366 0.867
13 S 0.499 0.562 0.360
14 S 0.499 0.938 0.860
15 S 0.501 0.062 0.140
16 S 0.501 0.438 0.640
17 S 0.916 0.634 0.133
18 S 0.916 0.866 0.633

=====

This entry pairs a crystal structure of FeSCl7 with its theoretical powder diffraction line list. Radiation: copper Kα. Structure: a cell relaxed with PBE.
Neutral-atom scattering factors, no anomalous dispersion.

The 6 most intense peaks (2θ = 10–90°), in order of falling intensity:
index, d/Å, intensity
1 2 0, 4.370, 100
1 1 -3, 3.789, 69
1 2 3, 2.905, 67
0 2 2, 4.475, 60
1 1 3, 3.188, 51
0 4 1, 2.970, 39

abc: 6.393 12.192 13.446
angles: 90.00 101.39 90.00
Atoms (fractional coordinates):
1 Fe 0.110 0.016 0.233
2 Fe 0.110 0.484 0.733
3 Fe 0.890 0.516 0.267
4 Fe 0.890 0.984 0.767
5 S 0.469 0.746 0.414
6 S 0.469 0.754 0.914
7 S 0.531 0.246 0.086
8 S 0.531 0.254 0.586
9 Cl 0.015 0.550 0.129
10 Cl 0.015 0.950 0.629
11 Cl 0.116 0.571 0.403
12 Cl 0.116 0.929 0.903
13 Cl 0.155 0.662 0.724
14 Cl 0.155 0.838 0.224
15 Cl 0.308 0.668 0.004
16 Cl 0.308 0.832 0.504
17 Cl 0.314 0.141 0.611
18 Cl 0.314 0.359 0.111
19 Cl 0.351 0.145 0.984
20 Cl 0.351 0.355 0.484
21 Cl 0.418 0.100 0.246
22 Cl 0.418 0.400 0.746
23 Cl 0.582 0.600 0.254
24 Cl 0.582 0.900 0.754
25 Cl 0.649 0.645 0.516
26 Cl 0.649 0.855 0.016
27 Cl 0.686 0.641 0.889
28 Cl 0.686 0.859 0.389
29 Cl 0.692 0.168 0.496
30 Cl 0.692 0.332 0.996
31 Cl 0.845 0.162 0.776
32 Cl 0.845 0.338 0.276
33 Cl 0.884 0.071 0.097
34 Cl 0.884 0.429 0.597
35 Cl 0.985 0.050 0.371
36 Cl 0.985 0.450 0.871

=====

This entry pairs a crystal structure of Dy2CoCuN2 with its theoretical powder diffraction line list. Radiation: copper Kα. Structure: a cell relaxed with PBE.
Neutral-atom scattering factors, no anomalous dispersion.

The 6 most intense peaks (2θ = 10–90°), in order of falling intensity:
index, d/Å, intensity
0 1 2, 2.475, 100
1 1 0, 2.562, 97
1 0 2, 2.410, 93
1 2 2, 1.476, 39
2 1 2, 1.435, 35
1 1 4, 1.389, 29

abc: 3.522 3.735 6.609
angles: 90.00 90.00 90.00
Atoms (fractional coordinates):
1 Dy 0.000 0.000 0.248
2 Dy 0.000 0.000 0.752
3 Co 0.500 0.500 0.000
4 Cu 0.500 0.500 0.500
5 N 0.000 0.500 0.000
6 N 0.500 0.000 0.500

=====

This entry pairs a crystal structure of Pd3N with its theoretical powder diffraction line list. Radiation: copper Kα. Structure: a cell relaxed with PBE.
Neutral-atom scattering factors, no anomalous dispersion.

The 6 most intense peaks (2θ = 10–90°), in order of falling intensity:
index, d/Å, intensity
1 1 1, 2.257, 100
0 0 2, 2.396, 24
1 1 0, 2.559, 20
1 1 3, 1.355, 19
3 0 2, 1.258, 18
3 0 0, 1.477, 18

abc: 5.118 5.118 4.793
angles: 90.00 90.00 120.00
Atoms (fractional coordinates):
1 Pd 0.000 0.331 0.000
2 Pd 0.000 0.669 0.500
3 Pd 0.331 0.000 0.000
4 Pd 0.331 0.331 0.500
5 Pd 0.669 0.000 0.500
6 Pd 0.669 0.669 0.000
7 N 0.333 0.667 0.250
8 N 0.667 0.333 0.750

=====

This entry pairs a crystal structure of Fe2NiTe4 with its theoretical powder diffraction line list. Radiation: copper Kα. Structure: a cell relaxed with PBE.
Neutral-atom scattering factors, no anomalous dispersion.

The 6 most intense peaks (2θ = 10–90°), in order of falling intensity:
index, d/Å, intensity
2 0 2, 3.076, 100
2 2 4, 1.882, 77
2 2 0, 2.668, 77
0 0 4, 2.656, 40
4 0 0, 1.886, 37
4 0 4, 1.538, 25

abc: 7.545 7.545 10.624
angles: 90.00 90.00 90.00
Atoms (fractional coordinates):
1 Fe 0.000 0.234 0.000
2 Fe 0.000 0.766 0.500
3 Fe 0.234 0.000 0.750
4 Fe 0.266 0.266 0.375
5 Fe 0.266 0.734 0.125
6 Fe 0.734 0.266 0.625
7 Fe 0.734 0.734 0.875
8 Fe 0.766 0.000 0.250
9 Ni 0.237 0.500 0.750
10 Ni 0.500 0.237 0.000
11 Ni 0.500 0.763 0.500
12 Ni 0.763 0.500 0.250
13 Te 0.001 0.245 0.757
14 Te 0.001 0.755 0.743
15 Te 0.243 0.470 0.992
16 Te 0.243 0.530 0.508
17 Te 0.245 0.001 0.993
18 Te 0.245 0.999 0.507
19 Te 0.470 0.243 0.758
20 Te 0.470 0.757 0.742
21 Te 0.530 0.243 0.242
22 Te 0.530 0.757 0.258
23 Te 0.755 0.001 0.007
24 Te 0.755 0.999 0.493
25 Te 0.757 0.470 0.008
26 Te 0.757 0.530 0.492
27 Te 0.999 0.245 0.243
28 Te 0.999 0.755 0.257

=====

This entry pairs a crystal structure of La3CoN4 with its theoretical powder diffraction line list. Radiation: copper Kα. Structure: a cell relaxed with PBE.
Neutral-atom scattering factors, no anomalous dispersion.

The 6 most intense peaks (2θ = 10–90°), in order of falling intensity:
index, d/Å, intensity
-1 1 1, 2.654, 100
0 0 3, 2.736, 96
1 1 0, 2.634, 95
0 1 1, 3.477, 61
0 1 -2, 2.931, 58
1 0 -1, 3.494, 56

abc: 3.737 3.957 8.247
angles: 93.12 94.33 92.97
Atoms (fractional coordinates):
1 La 0.000 0.000 0.000
2 La 0.240 0.721 0.348
3 La 0.760 0.279 0.652
4 Co 0.500 0.500 0.000
5 N 0.293 0.745 0.648
6 N 0.496 0.768 0.801
7 N 0.504 0.232 0.199
8 N 0.707 0.255 0.352

=====

This entry pairs a crystal structure of Li8Pt4O11 with its theoretical powder diffraction line list. Radiation: copper Kα. Structure: a cell relaxed with PBE.
Neutral-atom scattering factors, no anomalous dispersion.

The 6 most intense peaks (2θ = 10–90°), in order of falling intensity:
index, d/Å, intensity
1 0 1, 4.732, 100
0 2 0, 2.538, 39
1 -2 1, 2.086, 38
1 0 -1, 3.783, 29
1 1 4, 2.095, 27
-2 1 1, 1.911, 25

abc: 5.033 5.161 8.898
angles: 84.15 74.39 80.23
Atoms (fractional coordinates):
1 Li 0.000 0.000 0.000
2 Li 0.065 0.252 0.431
3 Li 0.143 0.501 0.854
4 Li 0.312 0.994 0.679
5 Li 0.482 0.491 0.508
6 Li 0.548 0.736 0.923
7 Li 0.635 0.013 0.361
8 Li 0.824 0.475 0.184
9 Pt 0.243 0.763 0.254
10 Pt 0.394 0.223 0.104
11 Pt 0.727 0.242 0.766
12 Pt 0.900 0.744 0.594
13 O 0.023 0.114 0.221
14 O 0.089 0.376 0.644
15 O 0.188 0.633 0.057
16 O 0.265 0.867 0.466
17 O 0.365 0.119 0.894
18 O 0.440 0.385 0.295
19 O 0.538 0.610 0.716
20 O 0.691 0.114 0.563
21 O 0.758 0.350 0.975
22 O 0.866 0.622 0.390
23 O 0.931 0.872 0.799

=====

This entry pairs a crystal structure of PrYAlIr2 with its theoretical powder diffraction line list. Radiation: copper Kα. Structure: a cell relaxed with PBE.
Neutral-atom scattering factors, no anomalous dispersion.

The 6 most intense peaks (2θ = 10–90°), in order of falling intensity:
index, d/Å, intensity
1 2 1, 2.309, 100
0 2 2, 2.439, 73
1 0 3, 2.391, 71
1 0 1, 3.747, 61
2 2 2, 1.579, 39
1 2 5, 1.416, 37

abc: 4.142 5.865 8.785
angles: 90.00 90.00 90.00
Atoms (fractional coordinates):
1 Pr 0.000 0.000 0.000
2 Pr 0.500 0.500 0.500
3 Y 0.000 0.000 0.397
4 Y 0.500 0.500 0.897
5 Al 0.000 0.500 0.198
6 Al 0.500 0.000 0.698
7 Ir 0.000 0.258 0.698
8 Ir 0.000 0.742 0.698
9 Ir 0.500 0.242 0.198
10 Ir 0.500 0.758 0.198